# 1
# CsReCl4O2
Calculated powder diffraction line list, Cu Ka. Input: a DFT-relaxed cell (PBE, OQMD).

Most intense lines, 5 to 70 degrees two-theta, low angle first:
h k l	d [Å]	I_rel
0 0 2	5.893	37
1 1 0	5.605	58
0 2 1	4.765	34
1 0 2	4.329	67
1 1 -2	4.127	100
1 2 -1	3.902	53
1 2 1	3.845	53
2 1 0	3.167	38
0 3 2	2.992	51
0 3 3	2.603	36

Structure:
```
data_CsReCl4O2
_chemical_formula_sum 'Cs4 Re4 Cl16 O8'
_cell_length_a 6.653
_cell_length_b 10.420
_cell_length_c 11.794
_cell_angle_alpha 90.00
_cell_angle_beta 92.17
_cell_angle_gamma 90.00
_space_group_name_H-M_alt 'P 1 21/c 1'
_space_group_IT_number 14
loop_
_space_group_symop_operation_xyz
'x,y,z'
'-x,-y,-z'
'-x,y+1/2,-z+1/2'
'x,-y+1/2,z+1/2'
loop_
_atom_site_label
_atom_site_type_symbol
_atom_site_fract_x
_atom_site_fract_y
_atom_site_fract_z
Cs1 Cs 0.187 0.111 0.153
Re1 Re 0.323 0.689 0.053
Cl1 Cl 0.004 0.715 0.617
Cl2 Cl 0.121 0.600 0.908
Cl3 Cl 0.314 0.613 0.433
Cl4 Cl 0.478 0.677 0.689
O1 O 0.289 0.565 0.148
O2 O 0.453 0.151 0.509
```

# 2
# CsOsCl6
Calculated powder diffraction line list, Cu Ka. Input: a DFT-relaxed cell (PBE, OQMD).

Most intense lines, 5 to 70 degrees two-theta, low angle first:
h k l	d [Å]	I_rel
1 1 -1	5.365	34
1 1 1	4.948	100
2 0 -2	4.800	57
2 0 2	3.840	34
1 1 -3	3.460	39
3 1 -1	3.431	31
2 2 -1	2.834	30
1 1 -4	2.790	22
3 1 2	2.742	22
3 1 -5	2.167	21

Structure:
```
data_CsOsCl6
_chemical_formula_sum 'Cs4 Os4 Cl24'
_cell_length_a 12.215
_cell_length_b 6.470
_cell_length_c 12.375
_cell_angle_alpha 90.00
_cell_angle_beta 102.68
_cell_angle_gamma 90.00
_space_group_name_H-M_alt 'C 1 c 1'
_space_group_IT_number 9
loop_
_space_group_symop_operation_xyz
'x,y,z'
'x,-y,z+1/2'
'x+1/2,y+1/2,z'
'x+1/2,-y+1/2,z+1/2'
loop_
_atom_site_label
_atom_site_type_symbol
_atom_site_fract_x
_atom_site_fract_y
_atom_site_fract_z
Cs1 Cs 0.000 0.121 0.000
Os1 Os 0.250 0.251 0.750
Cl1 Cl 0.081 0.375 0.646
Cl2 Cl 0.158 0.043 0.292
Cl3 Cl 0.214 0.417 0.905
Cl4 Cl 0.285 0.085 0.595
Cl5 Cl 0.341 0.456 0.209
Cl6 Cl 0.418 0.126 0.855
```

# 3
# CsTa6PbCl18
Calculated powder diffraction line list, Cu Ka. Input: a DFT-relaxed cell (PBE, OQMD).

Most intense lines, 5 to 70 degrees two-theta, low angle first:
h k l	d [Å]	I_rel
0 0 2	8.704	23
1 0 0	8.095	95
1 0 2	5.928	100
2 -1 2	4.118	27
1 1 4	3.185	20
2 1 0	3.060	24
3 0 2	2.577	19
2 1 4	2.503	57
2 1 6	2.104	42
2 2 4	2.059	26

Structure:
```
data_CsTa6PbCl18
_chemical_formula_sum 'Cs2 Ta12 Pb2 Cl36'
_cell_length_a 9.3477
_cell_length_b 9.3477
_cell_length_c 17.4089
_cell_angle_alpha 90.00
_cell_angle_beta 90.00
_cell_angle_gamma 120.00
_space_group_name_H-M_alt 'P -3 1 c'
_space_group_IT_number 163
_space_group_name_Hall '-P 3 2c'
loop_
_atom_site_label
_atom_site_type_symbol
_atom_site_fract_x
_atom_site_fract_y
_atom_site_fract_z
Cs1 Cs 0.3333 0.6667 0.2500
Ta1 Ta 0.0266 0.1930 0.9312
Pb1 Pb 0.3333 0.6667 0.7500
Cl1 Cl 0.0305 0.2256 0.1609
Cl2 Cl 0.0531 0.4318 0.8444
Cl3 Cl 0.1634 0.4201 0.4999
```

# 4
# Cs3PdCl6
Calculated powder diffraction line list, Cu Ka. Input: a DFT-relaxed cell (PBE, OQMD).

Most intense lines, 5 to 70 degrees two-theta, low angle first:
h k l	d [Å]	I_rel
2 2 0	3.958	100
2 2 2	3.232	11
4 0 0	2.799	51
3 3 1	2.569	3
4 2 2	2.285	42
4 4 0	1.979	33
6 2 0	1.770	25
4 4 4	1.616	11
6 4 2	1.496	27
8 0 0	1.400	5

Structure:
```
data_Cs3PdCl6
_chemical_formula_sum 'Cs12 Pd4 Cl24'
_cell_length_a 11.196
_cell_length_b 11.196
_cell_length_c 11.196
_cell_angle_alpha 90.00
_cell_angle_beta 90.00
_cell_angle_gamma 90.00
_space_group_name_H-M_alt 'F m -3 m'
_space_group_IT_number 225
_space_group_name_Hall '-F 4 2 3'
loop_
_atom_site_label
_atom_site_type_symbol
_atom_site_fract_x
_atom_site_fract_y
_atom_site_fract_z
Cs1 Cs 0.000 0.000 0.000
Cs2 Cs 0.250 0.250 0.250
Pd1 Pd 0.000 0.000 0.500
Cl1 Cl 0.000 0.000 0.284
```

# 5
# CsPdCl6
Calculated powder diffraction line list, Cu Ka. Input: a DFT-relaxed cell (PBE, OQMD).

Most intense lines, 5 to 70 degrees two-theta, low angle first:
h k l	d [Å]	I_rel
0 1 1	5.652	100
1 1 0	4.632	93
1 0 -1	3.855	64
1 -1 0	3.578	39
0 0 2	3.477	38
0 2 0	3.344	71
1 1 2	3.285	69
-1 1 2	2.577	56
2 0 0	2.500	26
1 3 0	2.272	47

Structure:
```
data_CsPdCl6
_chemical_formula_sum 'Cs1 Pd1 Cl6'
_cell_length_a 5.291
_cell_length_b 7.308
_cell_length_c 7.379
_cell_angle_alpha 71.57
_cell_angle_beta 78.40
_cell_angle_gamma 72.05
_space_group_name_H-M_alt 'P 1'
_space_group_IT_number 1
loop_
_space_group_symop_operation_xyz
'x,y,z'
loop_
_atom_site_label
_atom_site_type_symbol
_atom_site_fract_x
_atom_site_fract_y
_atom_site_fract_z
Cs1 Cs 0.000 0.000 0.000
Pd1 Pd 0.501 0.500 0.499
Cl1 Cl 0.001 0.000 0.500
Cl2 Cl 0.197 0.498 0.315
Cl3 Cl 0.462 0.833 0.354
Cl4 Cl 0.502 0.500 0.999
Cl5 Cl 0.540 0.166 0.645
Cl6 Cl 0.806 0.501 0.683
```

# 6
# Cs2PdCl4
Calculated powder diffraction line list, Cu Ka. Input: a DFT-relaxed cell (PBE, OQMD).

Most intense lines, 5 to 70 degrees two-theta, low angle first:
h k l	d [Å]	I_rel
1 0 1	5.815	60
1 1 2	3.584	100
2 0 0	3.516	74
2 1 1	3.009	18
2 0 2	2.907	56
0 0 4	2.585	29
2 2 0	2.486	54
2 0 4	2.083	32
3 1 2	2.043	42
2 2 4	1.792	37

Structure:
```
data_Cs2PdCl4
_chemical_formula_sum 'Cs4 Pd2 Cl8'
_cell_length_a 7.032
_cell_length_b 7.032
_cell_length_c 10.339
_cell_angle_alpha 90.00
_cell_angle_beta 90.00
_cell_angle_gamma 90.00
_space_group_name_H-M_alt 'P 42/m n m'
_space_group_IT_number 136
_space_group_name_Hall '-P 4n 2n'
loop_
_atom_site_label
_atom_site_type_symbol
_atom_site_fract_x
_atom_site_fract_y
_atom_site_fract_z
Cs1 Cs 0.000 0.500 0.250
Pd1 Pd 0.000 0.000 0.000
Cl1 Cl 0.000 0.000 0.225
Cl2 Cl 0.234 0.234 0.000
```